For LiMn3B3O9, a structure optimized by DFT (GGA+U) gives the theoretical powder XRD pattern in this record (Cu Kα, 1.54184 Å).
Neutral-atom scattering factors, no anomalous dispersion.

Top 10 peaks for 10° ≤ 2θ ≤ 80°, by intensity:
(0 1 2), 19.5 deg, rel. 100
(1 -1 0), 22.3 deg, rel. 84
(0 2 -2), 35.0 deg, rel. 69
(1 1 1), 22.0 deg, rel. 69
(-1 1 3), 33.5 deg, rel. 44
(1 0 -1), 20.4 deg, rel. 38
(1 2 3), 36.6 deg, rel. 35
(1 0 2), 20.7 deg, rel. 31
(2 0 -2), 41.4 deg, rel. 27
(-1 2 5), 52.0 deg, rel. 20

Crystal structure
a b c (Å): 5.2585 6.2748 11.8109
angles (deg): 81.28 78.03 89.14
Positions (direct):
Li: 0.2015 0.4668 0.2950
Li: 0.7985 0.5332 0.7050
Mn: 0.0073 0.0487 0.2922
Mn: 0.3252 0.2908 0.0417
Mn: 0.3404 0.3761 0.6207
Mn: 0.6596 0.6239 0.3793
Mn: 0.6748 0.7092 0.9583
Mn: 0.9927 0.9513 0.7078
B: 0.0821 0.7197 0.4932
B: 0.2428 0.5716 0.8354
B: 0.4227 0.0711 0.8291
B: 0.5773 0.9289 0.1709
B: 0.7572 0.4284 0.1646
B: 0.9179 0.2803 0.5068
O: 0.0062 0.3647 0.1750
O: 0.0250 0.7189 0.3815
O: 0.0877 0.2179 0.4168
O: 0.2621 0.1458 0.9188
O: 0.3239 0.5714 0.9422
O: 0.3241 0.6346 0.5062
O: 0.3527 0.0452 0.1605
O: 0.3592 0.0980 0.7171
O: 0.4262 0.5250 0.7420
O: 0.5738 0.4750 0.2580
O: 0.6408 0.9020 0.2829
O: 0.6473 0.9548 0.8395
O: 0.6759 0.3654 0.4938
O: 0.6761 0.4286 0.0578
O: 0.7379 0.8542 0.0812
O: 0.9123 0.7821 0.5832
O: 0.9750 0.2811 0.6185
O: 0.9938 0.6353 0.8250